No. 1
Computed powder X-ray diffraction pattern of K2RbGaCl6 for Cu Kα X-rays, from a cell relaxed with PBE.

Crystal structure
Cell: 10.910 10.910 10.910 Å, 90.00 90.00 90.00°
Space group Fm-3m (No. 225)
Symmetry-distinct sites (fractional):
K 0.250 0.250 0.250 x8
Rb 0.000 0.000 0.000 x4
Ga 0.000 0.000 0.500 x4
Cl 0.000 0.000 0.281 x24

Top 6 peaks for 5° ≤ 2θ ≤ 70°, in order of rising 2θ:
hkl  2θ/deg  intensity
2 0 0  16.2  74.1
2 2 0  23.1  84.1
4 0 0  32.8  100.0
4 2 0  36.8  27.8
4 2 2  40.5  30.0
4 4 0  47.1  59.8

No. 2
Computed powder X-ray diffraction pattern of Dy2Er6Hg for Cu Kα X-rays, from a cell relaxed with PBE.

Crystal structure
Cell: 9.207 17.174 3.511 Å, 90.00 90.00 90.00°
Space group Cmmm (No. 65)
Symmetry-distinct sites (fractional):
Dy 0.000 0.184 0.000 x4
Er 0.178 0.339 0.500 x8
Er 0.203 0.000 0.000 x4
Hg 0.000 0.500 0.500 x2

Top 6 peaks for 5° ≤ 2θ ≤ 70°, in order of rising 2θ:
hkl  2θ/deg  intensity
1 1 1  27.7  54.6
0 6 0  31.2  61.0
3 3 0  33.1  100.0
2 2 1  33.8  73.1
2 4 1  38.5  39.0
3 3 2  63.1  50.1

No. 3
Computed powder X-ray diffraction pattern of DyHo2Er5Tm for Cu Kα X-rays, from a cell relaxed with PBE.

Crystal structure
Cell: 5.520 19.602 10.458 Å, 90.00 90.00 90.00°
Space group Cmc2_1 (No. 36)
Symmetry-distinct sites (fractional):
Dy 0.000 0.200 0.000 x4
Ho 0.000 0.110 0.726 x4
Ho 0.000 0.113 0.307 x4
Er 0.000 0.018 0.013 x4
Er 0.000 0.282 0.296 x4
Er 0.000 0.301 0.697 x4
Er 0.000 0.390 0.011 x4
Er 0.000 0.480 0.727 x4
Tm 0.000 0.413 0.446 x4

Top 6 peaks for 5° ≤ 2θ ≤ 70°, in order of rising 2θ:
hkl  2θ/deg  intensity
0 6 1  28.6  16.1
1 1 3  30.7  34.2
2 0 0  32.4  38.7
1 5 2  32.8  100.0
0 0 4  34.3  12.9
3 5 2  58.1  19.8

No. 4
Computed powder X-ray diffraction pattern of La2SmY7 for Cu Kα X-rays, from a cell relaxed with PBE.

Crystal structure
Cell: 6.254 7.220 8.077 Å, 77.30 75.06 73.56°
Space group P-1 (No. 2)
Symmetry-distinct sites (fractional):
La 0.197 0.299 0.102 x2
Sm 0.000 0.000 0.500 x1
Y 0.000 0.500 0.500 x1
Y 0.199 0.800 0.103 x2
Y 0.399 0.601 0.698 x2
Y 0.400 0.101 0.697 x2

Top 6 peaks for 5° ≤ 2θ ≤ 70°, in order of rising 2θ:
hkl  2θ/deg  intensity
0 2 -1  30.2  50.2
2 0 1  30.3  100.0
1 2 2  30.4  49.6
1 0 3  35.1  67.1
2 2 0  35.2  33.2
1 4 1  50.5  46.7

No. 5
Computed powder X-ray diffraction pattern of YCd6 for Cu Kα X-rays, from a cell relaxed with PBE.

Crystal structure
Cell: 4.829 4.829 7.357 Å, 90.00 90.00 90.00°
Space group P4/mmm (No. 123)
Symmetry-distinct sites (fractional):
Y 0.000 0.000 0.000 x1
Cd 0.000 0.000 0.500 x1
Cd 0.000 0.500 0.281 x4
Cd 0.500 0.500 0.000 x1

Top 6 peaks for 5° ≤ 2θ ≤ 70°, in order of rising 2θ:
hkl  2θ/deg  intensity
1 0 1  22.0  12.0
1 1 2  35.9  100.0
2 0 0  37.2  49.2
2 2 0  53.7  16.4
2 0 4  63.6  13.4
3 1 2  66.3  31.0

No. 6
Computed powder X-ray diffraction pattern of LiLaAl2 for Cu Kα X-rays, from a cell relaxed with PBE.

Crystal structure
Cell: 4.880 4.924 6.944 Å, 90.00 90.00 90.00°
Space group Imm2 (No. 44)
Symmetry-distinct sites (fractional):
Li 0.000 0.000 0.000 x2
La 0.000 0.500 0.248 x2
Al 0.000 0.000 0.495 x2
Al 0.000 0.500 0.749 x2

Top 6 peaks for 5° ≤ 2θ ≤ 70°, in order of rising 2θ:
hkl  2θ/deg  intensity
0 1 1  22.1  58.4
1 0 1  22.3  58.4
1 1 0  25.7  85.9
1 1 2  36.6  100.0
0 1 3  43.2  41.4
1 3 2  65.8  26.6